Record 1
Structure and simulated powder X-ray diffraction pattern of PrNd4HoS8 (the GGA-PBE geometry in Alexandria; a wavelength of 1.5418 Å).
Peak positions follow from Bragg's law for the DFT cell and can differ from measured ones.

Structure:
Unit cell a=8.3120 b=8.3120 c=8.3120 alpha=59.95 beta=59.95 gamma=59.95
Positions (direct):
Pr (0.0000, 0.0000, 0.0000)
Nd (0.0001, 0.0001, 0.5077)
Nd (0.0001, 0.5077, 0.0001)
Nd (0.3769, 0.3769, 0.3769)
Nd (0.5077, 0.0001, 0.0001)
Ho (0.6271, 0.6271, 0.6271)
S (0.2435, 0.2435, 0.2435)
S (0.2437, 0.7536, 0.7536)
S (0.2448, 0.2448, 0.7764)
S (0.2448, 0.7764, 0.2448)
S (0.7536, 0.2437, 0.7536)
S (0.7536, 0.7536, 0.2437)
S (0.7551, 0.7551, 0.7551)
S (0.7764, 0.2448, 0.2448)

Main lines, sorted by position (10° ≤ 2θ ≤ 90°):
2theta  intensity
21.39  28
25.14  100
26.27  11
30.43  18
37.50  13
39.87  43
43.57  59
50.96  15
60.52  25
69.25  14
77.49  10
79.99  14

***

Record 2
Structure and simulated powder X-ray diffraction pattern of PrNd3Ho2S6 (the GGA-PBE geometry in Alexandria; a wavelength of 1.5418 Å).
Peak positions follow from Bragg's law for the DFT cell and can differ from measured ones.

Structure:
Unit cell a=6.9468 b=6.9468 c=6.9763 alpha=99.54 beta=99.54 gamma=120.13
Positions (direct):
Pr (0.0000, 0.0000, 0.0000)
Nd (0.1611, 0.8389, 0.5000)
Nd (0.5000, 0.5000, 0.5000)
Nd (0.8389, 0.1611, 0.5000)
Ho (0.3339, 0.6661, 0.0000)
Ho (0.6661, 0.3339, 0.0000)
S (0.0800, 0.4258, 0.2406)
S (0.2669, 0.2669, 0.7641)
S (0.4258, 0.0800, 0.2406)
S (0.5742, 0.9200, 0.7594)
S (0.7331, 0.7331, 0.2359)
S (0.9200, 0.5742, 0.7594)

Main lines, sorted by position (10° ≤ 2θ ≤ 90°):
2theta  intensity
27.10  20
27.23  58
31.51  100
45.08  36
45.25  36
53.43  16
53.58  19
56.14  12
65.79  11
74.62  11
74.75  10
74.94  10

***

Record 3
Structure and simulated powder X-ray diffraction pattern of PrNd4Ho3Se8 (the GGA-PBE geometry in Alexandria; a wavelength of 1.5418 Å).
Peak positions follow from Bragg's law for the DFT cell and can differ from measured ones.

Structure:
Unit cell a=8.4001 b=8.4001 c=8.4001 alpha=59.15 beta=59.15 gamma=59.15
Positions (direct):
Pr (0.0000, 0.0000, 0.0000)
Nd (0.0000, 0.0000, 0.5000)
Nd (0.0000, 0.5000, 0.0000)
Nd (0.5000, 0.0000, 0.0000)
Nd (0.5000, 0.5000, 0.5000)
Ho (0.0000, 0.5000, 0.5000)
Ho (0.5000, 0.0000, 0.5000)
Ho (0.5000, 0.5000, 0.0000)
Se (0.2509, 0.2509, 0.7374)
Se (0.2509, 0.7373, 0.2509)
Se (0.2557, 0.2557, 0.2557)
Se (0.2626, 0.7491, 0.7491)
Se (0.7373, 0.2509, 0.2509)
Se (0.7443, 0.7443, 0.7443)
Se (0.7491, 0.2626, 0.7491)
Se (0.7491, 0.7491, 0.2626)

Main lines, sorted by position (10° ≤ 2θ ≤ 90°):
2theta  intensity
26.27  14
30.29  100
43.08  38
43.66  37
53.07  7
54.06  19
63.01  12
71.08  17
71.92  16
78.57  6
79.79  12
80.20  6

***

Record 4
Structure and simulated powder X-ray diffraction pattern of PrNdSmHo2 (the GGA-PBE geometry in Alexandria; a wavelength of 1.5418 Å).
Peak positions follow from Bragg's law for the DFT cell and can differ from measured ones.

Structure:
Unit cell a=8.9084 b=8.9084 c=6.5114 alpha=90.00 beta=90.00 gamma=137.12
Positions (direct):
Pr (0.2496, 0.7504, 0.7500)
Pr (0.7504, 0.2496, 0.2500)
Nd (0.1571, 0.8429, 0.2500)
Nd (0.8429, 0.1571, 0.7500)
Sm (0.3451, 0.6549, 0.2500)
Sm (0.6549, 0.3451, 0.7500)
Ho (0.2498, 0.2498, 0.0000)
Ho (0.2498, 0.2498, 0.5000)
Ho (0.7502, 0.7502, 0.0000)
Ho (0.7502, 0.7502, 0.5000)

Main lines, sorted by position (10° ≤ 2θ ≤ 90°):
2theta  intensity
25.17  18
29.47  100
33.29  40
35.04  29
39.13  40
42.93  14
51.67  13
52.29  24
56.53  14
62.89  20
65.03  22
89.58  16

***

Record 5
Structure and simulated powder X-ray diffraction pattern of Pr2Nd2Sm4Ho (the GGA-PBE geometry in Alexandria; a wavelength of 1.5418 Å).
Peak positions follow from Bragg's law for the DFT cell and can differ from measured ones.

Structure:
Unit cell a=9.7143 b=9.7143 c=9.8032 alpha=115.13 beta=115.13 gamma=21.82
Positions (direct):
Pr (0.1473, 0.1473, 0.1657)
Pr (0.8527, 0.8527, 0.8343)
Nd (0.3349, 0.3349, 0.4997)
Nd (0.6651, 0.6651, 0.5003)
Sm (0.1847, 0.1847, 0.8324)
Sm (0.4816, 0.4816, 0.1717)
Sm (0.5184, 0.5184, 0.8283)
Sm (0.8153, 0.8153, 0.1676)
Ho (0.0000, 0.0000, 0.5000)

Main lines, sorted by position (10° ≤ 2θ ≤ 90°):
2theta  intensity
28.25  36
30.34  49
31.18  100
32.82  85
39.25  16
49.62  38
53.35  23
56.54  17
59.23  15
59.29  29
59.77  16
84.25  16

***

Record 6
Structure and simulated powder X-ray diffraction pattern of TbPr5NdHo2 (the GGA-PBE geometry in Alexandria; a wavelength of 1.5418 Å).
Peak positions follow from Bragg's law for the DFT cell and can differ from measured ones.

Structure:
Unit cell a=10.6843 b=10.6843 c=10.8073 alpha=90.00 beta=90.00 gamma=149.00
Positions (direct):
Tb (0.0900, 0.9100, 0.5000)
Tb (0.9100, 0.0900, 0.0000)
Pr (0.0199, 0.9801, 0.7854)
Pr (0.1103, 0.8897, 0.0675)
Pr (0.2042, 0.7958, 0.7458)
Pr (0.2193, 0.7807, 0.3528)
Pr (0.4841, 0.5159, 0.0635)
Pr (0.5159, 0.4841, 0.5635)
Pr (0.7807, 0.2193, 0.8528)
Pr (0.7958, 0.2042, 0.2458)
Pr (0.8897, 0.1103, 0.5675)
Pr (0.9801, 0.0199, 0.2854)
Nd (0.2996, 0.7004, 0.0522)
Nd (0.7004, 0.2996, 0.5522)
Ho (0.3838, 0.6162, 0.3583)
Ho (0.3891, 0.6109, 0.7808)
Ho (0.6109, 0.3891, 0.2808)
Ho (0.6162, 0.3838, 0.8583)

Main lines, sorted by position (10° ≤ 2θ ≤ 90°):
2theta  intensity
26.17  10
27.26  15
29.64  34
31.33  38
31.49  100
33.16  12
42.01  9
46.26  10
49.86  10
55.87  20
57.81  12
60.08  12

***

Record 7
Structure and simulated powder X-ray diffraction pattern of Tb2PrNd2Ho (the GGA-PBE geometry in Alexandria; a wavelength of 1.5418 Å).
Peak positions follow from Bragg's law for the DFT cell and can differ from measured ones.

Structure:
Unit cell a=7.0738 b=9.9191 c=5.7038 alpha=90.00 beta=90.00 gamma=90.00
Positions (direct):
Tb (0.2492, 0.1666, 0.0000)
Tb (0.2508, 0.6666, 0.5000)
Tb (0.7492, 0.3334, 0.5000)
Tb (0.7508, 0.8334, 0.0000)
Pr (0.0000, 0.5000, 0.0000)
Pr (0.5000, 0.0000, 0.5000)
Nd (0.2484, 0.8329, 0.0000)
Nd (0.2516, 0.3329, 0.5000)
Nd (0.7484, 0.6671, 0.5000)
Nd (0.7516, 0.1671, 0.0000)
Ho (0.0000, 0.0000, 0.5000)
Ho (0.5000, 0.5000, 0.0000)

Main lines, sorted by position (10° ≤ 2θ ≤ 90°):
2theta  intensity
31.08  91
31.30  100
40.59  11
44.69  34
51.69  8
55.54  30
55.66  12
55.77  13
61.68  29
65.23  8
79.49  9
87.77  7

***

Record 8
Structure and simulated powder X-ray diffraction pattern of Pr4Nd3HoTe8 (the GGA-PBE geometry in Alexandria; a wavelength of 1.5418 Å).
Peak positions follow from Bragg's law for the DFT cell and can differ from measured ones.

Structure:
Unit cell a=9.0065 b=9.0065 c=9.0065 alpha=59.82 beta=59.82 gamma=59.82
Positions (direct):
Pr (0.0000, 0.0000, 0.0000)
Pr (0.0000, 0.5000, 0.5000)
Pr (0.5000, 0.0000, 0.5000)
Pr (0.5000, 0.5000, 0.0000)
Nd (0.0000, 0.0000, 0.5000)
Nd (0.0000, 0.5000, 0.0000)
Nd (0.5000, 0.0000, 0.0000)
Ho (0.5000, 0.5000, 0.5000)
Te (0.2491, 0.2491, 0.2491)
Te (0.2542, 0.7441, 0.7441)
Te (0.2559, 0.2559, 0.7458)
Te (0.2559, 0.7458, 0.2559)
Te (0.7441, 0.2542, 0.7441)
Te (0.7441, 0.7441, 0.2542)
Te (0.7458, 0.2559, 0.2559)
Te (0.7509, 0.7509, 0.7509)

Main lines, sorted by position (10° ≤ 2θ ≤ 90°):
2theta  intensity
28.06  100
40.04  38
40.16  38
49.51  7
49.70  20
58.01  13
65.57  18
65.73  18
72.67  6
72.92  19
86.44  4
86.72  4

***

Record 9
Structure and simulated powder X-ray diffraction pattern of PrNd6Ho2Th (the GGA-PBE geometry in Alexandria; a wavelength of 1.5418 Å).
Peak positions follow from Bragg's law for the DFT cell and can differ from measured ones.

Structure:
Unit cell a=8.8970 b=8.8970 c=9.8337 alpha=94.28 beta=94.28 gamma=116.11
Positions (direct):
Pr (0.0960, 0.9040, 0.7500)
Pr (0.9040, 0.0960, 0.2500)
Nd (0.0118, 0.7987, 0.3806)
Nd (0.0775, 0.5168, 0.1845)
Nd (0.2013, 0.9882, 0.1194)
Nd (0.2597, 0.6065, 0.5584)
Nd (0.3935, 0.7403, 0.9416)
Nd (0.4832, 0.9225, 0.3155)
Nd (0.5168, 0.0775, 0.6845)
Nd (0.6065, 0.2597, 0.0584)
Nd (0.7403, 0.3935, 0.4416)
Nd (0.7987, 0.0118, 0.8806)
Nd (0.9225, 0.4832, 0.8155)
Nd (0.9882, 0.2013, 0.6194)
Ho (0.2136, 0.3037, 0.9490)
Ho (0.3037, 0.2136, 0.4490)
Ho (0.6963, 0.7864, 0.5510)
Ho (0.7864, 0.6963, 0.0510)
Th (0.4692, 0.5308, 0.2500)
Th (0.5308, 0.4692, 0.7500)

Main lines, sorted by position (10° ≤ 2θ ≤ 90°):
2theta  intensity
27.25  27
28.14  74
29.52  75
29.97  80
30.74  100
31.05  64
31.13  57
32.09  53
32.47  27
33.11  40
33.52  26
37.32  21

***

Record 10
Structure and simulated powder X-ray diffraction pattern of PrNd4Ho2Th (the GGA-PBE geometry in Alexandria; a wavelength of 1.5418 Å).
Peak positions follow from Bragg's law for the DFT cell and can differ from measured ones.

Structure:
Unit cell a=11.5200 b=5.1449 c=10.2646 alpha=90.00 beta=116.60 gamma=90.00
Positions (direct):
Pr (0.0000, 0.0000, 0.0000)
Pr (0.5000, 0.5000, 0.0000)
Nd (0.2473, 0.5000, 0.6212)
Nd (0.2484, 0.0000, 0.8710)
Nd (0.2516, 0.5000, 0.1290)
Nd (0.2527, 0.0000, 0.3788)
Nd (0.7473, 0.0000, 0.6212)
Nd (0.7484, 0.5000, 0.8710)
Nd (0.7516, 0.0000, 0.1290)
Nd (0.7527, 0.5000, 0.3788)
Ho (0.0016, 0.5000, 0.7449)
Ho (0.4984, 0.0000, 0.2551)
Ho (0.5016, 0.0000, 0.7449)
Ho (0.9984, 0.5000, 0.2551)
Th (0.0000, 0.0000, 0.5000)
Th (0.5000, 0.5000, 0.5000)

Main lines, sorted by position (10° ≤ 2θ ≤ 90°):
2theta  intensity
30.10  100
34.86  34
34.97  17
50.16  30
50.26  6
59.57  22
59.65  14
59.77  7
62.51  6
62.63  6
81.52  9
84.18  8

***

Record 11
Structure and simulated powder X-ray diffraction pattern of Pr6NdHo2Tm (the GGA-PBE geometry in Alexandria; a wavelength of 1.5418 Å).
Peak positions follow from Bragg's law for the DFT cell and can differ from measured ones.

Structure:
Unit cell a=9.0049 b=9.0049 c=9.7109 alpha=93.70 beta=93.70 gamma=117.21
Positions (direct):
Pr (0.0047, 0.5620, 0.1882)
Pr (0.1153, 0.7609, 0.5547)
Pr (0.2391, 0.8847, 0.9453)
Pr (0.2945, 0.5132, 0.3832)
Pr (0.4380, 0.9953, 0.3118)
Pr (0.4868, 0.7055, 0.1168)
Pr (0.5132, 0.2945, 0.8832)
Pr (0.5620, 0.0047, 0.6882)
Pr (0.7055, 0.4868, 0.6168)
Pr (0.7609, 0.1153, 0.0547)
Pr (0.8847, 0.2391, 0.4453)
Pr (0.9953, 0.4380, 0.8118)
Nd (0.0280, 0.9720, 0.2500)
Nd (0.9720, 0.0280, 0.7500)
Ho (0.2027, 0.2991, 0.0482)
Ho (0.2991, 0.2027, 0.5482)
Ho (0.7009, 0.7973, 0.4518)
Ho (0.7973, 0.7009, 0.9518)
Tm (0.4123, 0.5877, 0.7500)
Tm (0.5877, 0.4123, 0.2500)

Main lines, sorted by position (10° ≤ 2θ ≤ 90°):
2theta  intensity
27.51  24
27.96  42
29.71  55
30.15  66
30.61  100
30.86  41
31.68  23
32.35  15
33.32  38
36.82  16
45.57  15
58.44  15

***

Record 12
Structure and simulated powder X-ray diffraction pattern of Pr2Nd2HoTm (the GGA-PBE geometry in Alexandria; a wavelength of 1.5418 Å).
Peak positions follow from Bragg's law for the DFT cell and can differ from measured ones.

Structure:
Unit cell a=7.1049 b=5.7368 c=9.9331 alpha=90.00 beta=90.00 gamma=90.00
Positions (direct):
Pr (0.0000, 0.0000, 0.0000)
Pr (0.2500, 0.5000, 0.1778)
Pr (0.5000, 0.0000, 0.0000)
Pr (0.7500, 0.5000, 0.8222)
Nd (0.2500, 0.0000, 0.3325)
Nd (0.2500, 0.5000, 0.8354)
Nd (0.7500, 0.0000, 0.6675)
Nd (0.7500, 0.5000, 0.1646)
Ho (0.2500, 0.0000, 0.6581)
Ho (0.7500, 0.0000, 0.3419)
Tm (0.0000, 0.5000, 0.5000)
Tm (0.5000, 0.5000, 0.5000)

Main lines, sorted by position (10° ≤ 2θ ≤ 90°):
2theta  intensity
30.95  93
31.19  100
40.42  10
44.51  34
51.45  8
55.35  36
55.50  19
61.40  29
65.04  12
73.76  15
79.06  14
87.41  11